1.
Starting from DFT lattice parameters and positions (GGA-PBE), the powder X-ray diffraction pattern of TmMg5O6 was calculated for Cu Kα, 1.54184 Å.

Largest 10 diffraction maxima, by angle, 2θ from 15° to 90°:
(hkl), d [Å], 2θ/deg, Rel. int.
0 0 1, 5.145, 17.2, 52.9
0 2 0, 4.735, 18.7, 42.8
1 1 0, 4.531, 19.6, 77.2
1 1 -1, 4.024, 22.1, 62.9
0 2 1, 3.484, 25.6, 46.3
1 3 0, 2.691, 33.3, 33.8
2 0 0, 2.577, 34.8, 76.1
1 3 1, 2.234, 40.4, 100.0
2 0 -2, 2.223, 40.6, 49.3
2 0 2, 1.579, 58.4, 30.8

Structural model:
Lattice parameters (Å, degrees): 5.463 9.471 5.447 90.00 109.18 90.00
Space group C2/m (No. 12)
Asymmetric unit:
Tm  0.000  0.000  0.000 [2 per cell]
Mg  0.000  0.173  0.500 [4 per cell]
Mg  0.000  0.334  0.000 [4 per cell]
Mg  0.000  0.500  0.500 [2 per cell]
O  0.245  0.500  0.252 [4 per cell]
O  0.246  0.332  0.746 [8 per cell]

2.
Starting from DFT lattice parameters and positions (GGA-PBE), the powder X-ray diffraction pattern of Rb4MgTl4 was calculated for Cu Kα, 1.54184 Å.

Largest 10 diffraction maxima, by angle, 2θ from 15° to 90°:
(hkl), d [Å], 2θ/deg, Rel. int.
1 1 2, 4.413, 20.1, 21.0
0 0 4, 3.995, 22.3, 50.9
2 0 0, 3.743, 23.8, 36.4
2 1 1, 3.277, 27.2, 100.0
1 1 4, 3.189, 28.0, 18.5
2 1 3, 2.834, 31.6, 28.9
2 0 4, 2.732, 32.8, 30.7
2 1 5, 2.312, 39.0, 52.4
4 1 1, 1.804, 50.6, 24.5
4 1 5, 1.579, 58.5, 20.6

Structural model:
Lattice parameters (Å, degrees): 7.486 7.486 15.981 90.00 90.00 90.00
Space group I-42m (No. 121)
Asymmetric unit:
Rb  0.188  0.188  0.378 [8 per cell]
Mg  0.000  0.000  0.000 [2 per cell]
Tl  0.169  0.169  0.148 [8 per cell]

3.
Starting from DFT lattice parameters and positions (GGA-PBE), the powder X-ray diffraction pattern of ZrH4Pd was calculated for Cu Kα, 1.54184 Å.

Largest 10 diffraction maxima, by angle, 2θ from 15° to 90°:
(hkl), d [Å], 2θ/deg, Rel. int.
1 0 1, 2.691, 33.3, 100.0
1 1 0, 2.392, 37.6, 33.7
0 0 2, 2.221, 40.6, 13.6
2 0 0, 1.691, 54.2, 12.5
1 1 2, 1.627, 56.6, 21.9
2 1 1, 1.432, 65.1, 27.3
1 0 3, 1.356, 69.3, 11.3
2 0 2, 1.345, 69.9, 10.8
2 2 0, 1.196, 80.3, 3.8
3 0 1, 1.093, 89.7, 5.8

Structural model:
Lattice parameters (Å, degrees): 3.382 3.382 4.441 90.00 90.00 90.00
Space group P4/mmm (No. 123)
Asymmetric unit:
Zr  0.000  0.000  0.000 [1 per cell]
H  0.000  0.500  0.264 [4 per cell]
Pd  0.500  0.500  0.500 [1 per cell]

4.
Starting from DFT lattice parameters and positions (GGA-PBE), the powder X-ray diffraction pattern of AcSm4Y4 was calculated for Cu Kα, 1.54184 Å.

Largest 10 diffraction maxima, by angle, 2θ from 15° to 90°:
(hkl), d [Å], 2θ/deg, Rel. int.
1 0 1, 4.652, 19.1, 7.4
3 0 1, 2.974, 30.1, 100.0
3 3 0, 2.578, 34.8, 33.8
0 0 2, 2.570, 34.9, 16.8
3 3 2, 1.821, 50.1, 36.0
6 3 1, 1.554, 59.5, 28.5
3 0 3, 1.551, 59.6, 14.2
6 0 2, 1.487, 62.5, 12.3
6 3 3, 1.181, 81.5, 11.5
6 6 2, 1.152, 84.0, 10.7

Structural model:
Lattice parameters (Å, degrees): 10.936 10.936 5.141 90.00 90.00 90.00
Space group I4/mmm (No. 139)
Asymmetric unit:
Ac  0.000  0.000  0.000 [2 per cell]
Sm  0.000  0.335  0.000 [8 per cell]
Y  0.170  0.170  0.500 [8 per cell]

5.
Starting from DFT lattice parameters and positions (GGA-PBE), the powder X-ray diffraction pattern of Er5Co2Au2 was calculated for Cu Kα, 1.54184 Å.

Largest 10 diffraction maxima, by angle, 2θ from 15° to 90°:
(hkl), d [Å], 2θ/deg, Rel. int.
0 2 1, 3.206, 27.8, 19.9
3 1 2, 2.741, 32.7, 31.7
4 0 2, 2.650, 33.8, 100.0
4 2 0, 2.631, 34.1, 53.6
0 2 2, 2.544, 35.3, 47.1
4 2 1, 2.473, 36.3, 39.0
1 1 3, 2.262, 39.8, 25.4
1 3 1, 2.240, 40.3, 37.9
5 3 3, 1.489, 62.4, 22.1
9 1 3, 1.377, 68.1, 16.0

Structural model:
Lattice parameters (Å, degrees): 15.536 7.152 7.240 90.00 90.00 90.00
Space group Cmce (No. 64)
Asymmetric unit:
Er  0.000  0.000  0.000 [4 per cell]
Er  0.128  0.178  0.322 [16 per cell]
Co  0.000  0.111  0.612 [8 per cell]
Au  0.213  0.000  0.000 [8 per cell]

6.
Starting from DFT lattice parameters and positions (GGA-PBE), the powder X-ray diffraction pattern of LiLa2Ge4Pd3 was calculated for Cu Kα, 1.54184 Å.

Largest 10 diffraction maxima, by angle, 2θ from 15° to 90°:
(hkl), d [Å], 2θ/deg, Rel. int.
1 1 0, 3.096, 28.8, 35.0
1 0 3, 2.710, 33.1, 95.0
1 1 2, 2.657, 33.7, 100.0
2 0 0, 2.189, 41.2, 76.4
1 1 4, 1.985, 45.7, 17.4
1 0 5, 1.871, 48.7, 37.2
2 1 3, 1.703, 53.8, 46.9
2 2 0, 1.548, 59.7, 25.2
2 1 5, 1.422, 65.6, 29.8
3 1 2, 1.338, 70.4, 23.0

Structural model:
Lattice parameters (Å, degrees): 4.379 4.379 10.349 90.00 90.00 90.00
Space group P-4m2 (No. 115)
Asymmetric unit:
Li  0.000  0.000  0.000 [1 per cell]
La  0.000  0.500  0.751 [2 per cell]
Ge  0.000  0.000  0.500 [1 per cell]
Ge  0.000  0.500  0.132 [2 per cell]
Ge  0.500  0.500  0.500 [1 per cell]
Pd  0.000  0.500  0.374 [2 per cell]
Pd  0.500  0.500  0.000 [1 per cell]

7.
Starting from DFT lattice parameters and positions (GGA-PBE), the powder X-ray diffraction pattern of Zn5Se4S was calculated for Cu Kα, 1.54184 Å.

Largest 10 diffraction maxima, by angle, 2θ from 15° to 90°:
(hkl), d [Å], 2θ/deg, Rel. int.
1 0 0, 3.473, 25.7, 100.0
0 0 10, 3.292, 27.1, 54.3
1 0 5, 3.071, 29.1, 63.8
1 0 10, 2.389, 37.7, 35.2
1 1 0, 2.005, 45.2, 83.0
0 1 15, 1.855, 49.1, 76.2
1 1 10, 1.712, 53.5, 46.7
2 0 15, 1.362, 69.0, 26.4
0 1 25, 1.231, 77.5, 15.7
1 2 15, 1.126, 86.4, 28.8

Structural model:
Lattice parameters (Å, degrees): 4.0098 4.0098 32.9159 90.00 90.00 120.00
Space group P3m1 (No. 156)
Asymmetric unit:
Zn  0.0000  0.0000  0.0000 [1 per cell]
Zn  0.0000  0.0000  0.1951 [1 per cell]
Zn  0.0000  0.0000  0.3902 [1 per cell]
Zn  0.0000  0.0000  0.5934 [1 per cell]
Zn  0.0000  0.0000  0.7967 [1 per cell]
Zn  0.3333  0.6667  0.0931 [1 per cell]
Zn  0.3333  0.6667  0.2884 [1 per cell]
Zn  0.3333  0.6667  0.4918 [1 per cell]
Zn  0.3333  0.6667  0.6950 [1 per cell]
Zn  0.3333  0.6667  0.8982 [1 per cell]
Se  0.0000  0.0000  0.4658 [1 per cell]
Se  0.0000  0.0000  0.6689 [1 per cell]
Se  0.0000  0.0000  0.8721 [1 per cell]
Se  0.3333  0.6667  0.1688 [1 per cell]
Se  0.3333  0.6667  0.3642 [1 per cell]
Se  0.3333  0.6667  0.5674 [1 per cell]
Se  0.3333  0.6667  0.7705 [1 per cell]
Se  0.3333  0.6667  0.9736 [1 per cell]
S  0.0000  0.0000  0.0718 [1 per cell]
S  0.0000  0.0000  0.2670 [1 per cell]

8.
Starting from DFT lattice parameters and positions (GGA-PBE), the powder X-ray diffraction pattern of Li5Zn4Cu3 was calculated for Cu Kα, 1.54184 Å.

Largest 10 diffraction maxima, by angle, 2θ from 15° to 90°:
(hkl), d [Å], 2θ/deg, Rel. int.
2 0 0, 5.666, 15.6, 38.7
2 0 1, 3.507, 25.4, 34.9
1 1 1, 3.239, 27.5, 67.0
4 0 -1, 3.144, 28.4, 25.0
3 1 0, 2.891, 30.9, 45.2
2 0 2, 2.341, 38.5, 37.9
0 2 0, 2.243, 40.2, 100.0
5 1 -2, 2.112, 42.8, 94.4
3 1 -3, 2.041, 44.4, 37.4
1 1 -3, 1.994, 45.5, 47.8

Structural model:
Lattice parameters (Å, degrees): 12.579 4.490 6.931 90.00 115.72 90.00
Space group C2/m (No. 12)
Asymmetric unit:
Li  0.000  0.000  0.000 [2 per cell]
Li  0.079  0.500  0.719 [4 per cell]
Li  0.170  0.500  0.380 [4 per cell]
Zn  0.088  0.000  0.455 [4 per cell]
Zn  0.237  0.000  0.885 [4 per cell]
Cu  0.000  0.500  0.000 [2 per cell]
Cu  0.205  0.000  0.223 [4 per cell]